Structure and computed XRD peak list of LaCe3O4 (a DFT-relaxed cell (GGA-PBE, Alexandria); a wavelength of 1.5418 Å).
Peak positions follow from Bragg's law for the DFT cell and can differ from measured ones.

```
LaCe3O4
1.0
5.0244 0.0000 0.0000
0.0000 5.0244 0.0000
0.0000 0.0000 5.0244
La Ce O
1 3 4
direct
0.0000 0.0000 0.0000
0.0000 0.5000 0.5000
0.5000 0.0000 0.5000
0.5000 0.5000 0.0000
0.0000 0.0000 0.5000
0.0000 0.5000 0.0000
0.5000 0.0000 0.0000
0.5000 0.5000 0.5000
```

Principal peaks in the range 5 to 70 degrees two-theta, sorted by position:
Position (°2θ)	I/Imax
30.82	100
35.74	83
51.44	57
61.18	45
64.22	19


Structure and computed XRD peak list of La2Ce4Pb3O2 (a DFT-relaxed cell (GGA-PBE, Alexandria); a wavelength of 1.5418 Å).
Peak positions follow from Bragg's law for the DFT cell and can differ from measured ones.

```
La2Ce4Pb3O2
1.0
-2.4035 2.4035 13.3612
2.4035 -2.4035 13.3612
2.4035 2.4035 -13.3612
La Ce Pb O
2 4 3 2
direct
0.1960 0.1960 0.0000
0.8040 0.8040 0.0000
0.0837 0.5837 0.5000
0.4163 0.9163 0.5000
0.5837 0.0837 0.5000
0.9163 0.4163 0.5000
0.3241 0.3241 0.0000
0.5000 0.5000 0.0000
0.6759 0.6759 0.0000
0.0985 0.0985 0.0000
0.9015 0.9015 0.0000
```

Principal peaks in the range 5 to 70 degrees two-theta, sorted by position:
Position (°2θ)	I/Imax
18.76	18
27.07	29
33.16	100
37.42	51
53.95	18
64.81	30